(1)
Starting from a structure optimized by DFT (PBE), the PXRD pattern of Ba3Li2 was calculated for Cu Ka.
Lines closer than 0.1° are merged.

Peak list (10 most intense, 10 to 80 degrees two-theta, most intense first)
25.31°, intensity 1000
41.93°, intensity 452
23.06°, intensity 367
26.74°, intensity 360
17.64°, intensity 346
29.18°, intensity 246
50.12°, intensity 194
31.72°, intensity 179
39.58°, intensity 178
52.75°, intensity 131

Atomic structure:
```
Ba3Li2
1.0
5.642 0.000 0.000
0.000 7.714 0.000
0.000 0.000 11.089
Ba Li
6 4
Cartesian
0.000 0.000 0.000
0.000 3.857 2.274
0.000 3.857 8.815
2.821 0.000 3.271
2.821 0.000 7.819
2.821 3.857 5.545
0.000 1.482 5.545
0.000 6.232 5.545
2.821 2.375 0.000
2.821 5.339 0.000
```

=====

(2)
Starting from a structure optimized by DFT (PBE), the PXRD pattern of Cs2RbSrBr5 was calculated for Cu Ka.
Lines closer than 0.1° are merged.

Peak list (10 most intense, 10 to 80 degrees two-theta, most intense first)
29.54°, intensity 1000
21.12°, intensity 914
26.75°, intensity 765
43.01°, intensity 699
30.55°, intensity 657
29.64°, intensity 636
30.44°, intensity 506
11.75°, intensity 394
27.54°, intensity 284
54.03°, intensity 281

Atomic structure:
```
Cs2RbSrBr5
1.0
-2.927 4.167 8.788
2.927 -4.167 8.788
2.927 4.167 -8.788
Cs Rb Sr Br
2 1 1 5
Cartesian
0.000 0.000 3.630
0.000 0.000 13.947
0.000 4.167 0.000
2.927 0.000 0.000
0.000 0.000 0.000
2.927 2.111 -2.201
2.927 2.111 2.201
0.000 2.056 6.587
0.000 2.056 10.990
```

=====

(3)
Starting from a structure optimized by DFT (PBE), the PXRD pattern of Rb2SnWBr6 was calculated for Cu Ka.
Lines closer than 0.1° are merged.

Peak list (10 most intense, 10 to 80 degrees two-theta, most intense first)
45.28°, intensity 1000
31.63°, intensity 939
22.19°, intensity 746
15.64°, intensity 736
31.52°, intensity 474
27.27°, intensity 390
56.26°, intensity 339
38.95°, intensity 328
75.06°, intensity 277
35.41°, intensity 244

Atomic structure:
```
Rb2SnWBr6
1.0
-4.001 4.001 5.677
4.001 -4.001 5.677
4.001 4.001 -5.677
Rb Sn W Br
2 1 1 6
Cartesian
4.001 0.000 2.839
0.000 4.001 2.839
0.000 0.000 0.000
0.000 0.000 5.677
0.000 0.000 3.021
2.129 2.129 0.000
1.871 -1.871 5.677
-1.871 1.871 5.677
0.000 0.000 8.334
1.871 1.871 5.677
```